# YZn3Ag3
Computed PXRD pattern, λ = 1.5418 Å (Cu Kα). Input: DFT lattice parameters and positions (GGA-PBE).
Peak positions follow from Bragg's law for the DFT cell and can differ from measured ones.

Principal peaks in the range 10° ≤ 2θ ≤ 90°, by angle:
- 2θ 14.60, rel. 83
- 2θ 20.71, rel. 35
- 2θ 25.44, rel. 57
- 2θ 29.45, rel. 37
- 2θ 36.28, rel. 25
- 2θ 44.83, rel. 100
- 2θ 47.40, rel. 50
- 2θ 65.27, rel. 24
- 2θ 71.25, rel. 15
- 2θ 82.67, rel. 14

Atomic structure:
```
YZn3Ag3
1.0
0.000 6.065 6.065
6.065 0.000 6.065
6.065 6.065 0.000
Y Zn Ag
2 6 6
direct
0.250 0.250 0.250
0.750 0.750 0.750
0.147 0.147 0.853
0.147 0.853 0.147
0.147 0.853 0.853
0.853 0.147 0.147
0.853 0.147 0.853
0.853 0.853 0.147
0.341 0.341 0.659
0.341 0.659 0.341
0.341 0.659 0.659
0.659 0.341 0.341
0.659 0.341 0.659
0.659 0.659 0.341
```


# Y2ZrAg
Computed PXRD pattern, λ = 1.5418 Å (Cu Kα). Input: DFT lattice parameters and positions (GGA-PBE).
Peak positions follow from Bragg's law for the DFT cell and can differ from measured ones.

Principal peaks in the range 10° ≤ 2θ ≤ 90°, by angle:
- 2θ 32.60, rel. 100
- 2θ 33.82, rel. 85
- 2θ 37.56, rel. 64
- 2θ 40.45, rel. 27
- 2θ 52.49, rel. 12
- 2θ 56.38, rel. 38
- 2θ 63.92, rel. 25
- 2θ 66.14, rel. 19
- 2θ 68.29, rel. 11
- 2θ 68.63, rel. 11

Atomic structure:
```
Y2ZrAg
1.0
3.487 0.000 0.000
0.000 4.460 0.000
0.000 0.000 6.590
Y Zr Ag
2 1 1
direct
0.000 0.000 0.000
0.500 0.500 0.305
0.000 0.000 0.523
0.500 0.500 0.773
```


# Yb2Ag7
Computed PXRD pattern, λ = 1.5418 Å (Cu Kα). Input: DFT lattice parameters and positions (GGA-PBE).
Peak positions follow from Bragg's law for the DFT cell and can differ from measured ones.

Principal peaks in the range 10° ≤ 2θ ≤ 90°, by angle:
- 2θ 31.42, rel. 20
- 2θ 33.15, rel. 20
- 2θ 36.72, rel. 28
- 2θ 37.50, rel. 46
- 2θ 37.79, rel. 100
- 2θ 37.99, rel. 55
- 2θ 40.00, rel. 14
- 2θ 63.80, rel. 12
- 2θ 65.57, rel. 12
- 2θ 68.48, rel. 14

Atomic structure:
```
Yb2Ag7
1.0
4.753 -2.780 0.000
4.753 2.780 0.000
0.000 0.000 14.225
Yb Ag
4 14
direct
0.179 0.821 0.616
0.179 0.821 0.884
0.821 0.179 0.116
0.821 0.179 0.384
0.163 0.512 0.075
0.163 0.512 0.425
0.175 0.325 0.750
0.323 0.677 0.250
0.325 0.175 0.250
0.488 0.837 0.075
0.488 0.837 0.425
0.512 0.163 0.575
0.512 0.163 0.925
0.675 0.825 0.750
0.677 0.323 0.750
0.825 0.675 0.250
0.837 0.488 0.575
0.837 0.488 0.925
```